1.
Simulated PXRD pattern
Compound: LaBiSCl2
Radiation: Cu Kα
Structure: a cell relaxed with GGA-PBE
Intensities are scaled so that the largest is 100.

Structure:
```
LaBiSCl2
1.0
5.497 0.000 0.000
0.000 5.497 0.000
0.000 0.000 5.714
La Bi S Cl
1 1 1 2
Direct
0.000 0.000 0.000
0.500 0.500 0.500
0.000 0.000 0.500
0.000 0.500 0.000
0.500 0.000 0.000
```

Main lines, low angle first (2θ = 10–90°):
2θ = 22.4°, I 100
2θ = 22.9°, I 46
2θ = 27.8°, I 20
2θ = 31.3°, I 23
2θ = 32.6°, I 42
2θ = 39.1°, I 24
2θ = 39.9°, I 47
2θ = 45.8°, I 32
2θ = 46.7°, I 15
2θ = 57.3°, I 16
2θ = 61.6°, I 14
2θ = 62.5°, I 13

***

2.
Simulated PXRD pattern
Compound: Li2BiCl8
Radiation: Cu Kα
Structure: a cell relaxed with GGA-PBE
Intensities are scaled so that the largest is 100.

Structure:
```
Li2BiCl8
1.0
-3.338 3.338 7.021
3.338 -3.338 7.021
3.338 3.338 -7.021
Li Bi Cl
2 1 8
Direct
0.250 0.750 0.500
0.750 0.250 0.500
0.000 0.000 0.000
0.021 0.562 0.814
0.208 0.021 0.459
0.251 0.438 0.459
0.438 0.979 0.186
0.562 0.749 0.541
0.749 0.208 0.186
0.792 0.251 0.814
0.979 0.792 0.541
```

Main lines, low angle first (2θ = 10–90°):
2θ = 12.6°, I 36
2θ = 14.7°, I 100
2θ = 22.7°, I 29
2θ = 23.2°, I 23
2θ = 29.6°, I 12
2θ = 30.6°, I 33
2θ = 31.8°, I 23
2θ = 35.7°, I 38
2θ = 37.2°, I 20
2θ = 42.8°, I 15
2θ = 44.3°, I 17
2θ = 44.8°, I 15

***

3.
Simulated PXRD pattern
Compound: NaLi2BiCl6
Radiation: Cu Kα
Structure: a cell relaxed with GGA-PBE
Intensities are scaled so that the largest is 100.

Structure:
```
NaLi2BiCl6
1.0
3.393 1.959 6.138
-3.393 1.959 6.138
0.000 -3.918 6.138
Na Li Bi Cl
1 2 1 6
Direct
0.000 0.000 0.000
0.286 0.286 0.286
0.802 0.802 0.802
0.489 0.489 0.489
0.072 0.677 0.435
0.189 0.570 0.917
0.435 0.072 0.677
0.570 0.917 0.189
0.677 0.435 0.072
0.917 0.189 0.570
```

Main lines, low angle first (2θ = 10–90°):
2θ = 14.4°, I 42
2θ = 15.8°, I 99
2θ = 17.9°, I 100
2θ = 24.6°, I 56
2θ = 28.6°, I 23
2θ = 30.1°, I 82
2θ = 32.0°, I 38
2θ = 36.3°, I 23
2θ = 39.6°, I 65
2θ = 41.8°, I 25
2θ = 45.3°, I 25
2θ = 46.3°, I 40

***

4.
Simulated PXRD pattern
Compound: LiBi3Cl2O4
Radiation: Cu Kα
Structure: a cell relaxed with GGA-PBE
Intensities are scaled so that the largest is 100.

Structure:
```
LiBi3Cl2O4
1.0
5.514 0.000 0.000
0.000 2.757 6.208
0.000 -2.757 6.208
Li Bi Cl O
1 3 2 4
Direct
0.000 0.000 0.000
0.000 0.356 0.356
0.500 0.545 0.545
0.500 0.860 0.860
0.000 0.722 0.722
0.500 0.209 0.209
0.252 0.206 0.699
0.252 0.699 0.206
0.748 0.206 0.699
0.748 0.699 0.206
```

Main lines, low angle first (2θ = 10–90°):
2θ = 14.3°, I 33
2θ = 16.1°, I 11
2θ = 17.6°, I 16
2θ = 21.6°, I 12
2θ = 23.9°, I 42
2θ = 31.5°, I 100
2θ = 32.5°, I 39
2θ = 43.9°, I 18
2θ = 46.6°, I 21
2θ = 53.0°, I 11
2θ = 55.5°, I 21
2θ = 57.3°, I 37

***

5.
Simulated PXRD pattern
Compound: LiTlBiCl5
Radiation: Cu Kα
Structure: a cell relaxed with GGA-PBE
Intensities are scaled so that the largest is 100.

Structure:
```
LiTlBiCl5
1.0
4.504 -6.129 0.000
4.504 6.129 0.000
-4.141 0.000 9.284
Li Tl Bi Cl
2 2 2 10
Direct
0.193 0.807 0.750
0.807 0.193 0.250
0.144 0.856 0.250
0.856 0.144 0.750
0.500 0.500 0.000
0.500 0.500 0.500
0.120 0.255 0.426
0.188 0.589 0.886
0.255 0.120 0.926
0.411 0.812 0.614
0.415 0.585 0.250
0.585 0.415 0.750
0.589 0.188 0.386
0.745 0.880 0.074
0.812 0.411 0.114
0.880 0.745 0.574
```

Main lines, low angle first (2θ = 10–90°):
2θ = 13.2°, I 35
2θ = 17.3°, I 26
2θ = 19.1°, I 100
2θ = 21.6°, I 51
2θ = 24.0°, I 32
2θ = 24.3°, I 52
2θ = 26.6°, I 24
2θ = 30.8°, I 26
2θ = 31.2°, I 28
2θ = 35.1°, I 29
2θ = 37.0°, I 30
2θ = 39.6°, I 25

***

6.
Simulated PXRD pattern
Compound: MnBiCl
Radiation: Cu Kα
Structure: a cell relaxed with GGA-PBE
Intensities are scaled so that the largest is 100.

Structure:
```
MnBiCl
1.0
3.912 0.000 0.000
0.000 6.764 0.000
-0.023 -2.549 6.431
Mn Bi Cl
2 2 2
Direct
0.000 0.245 0.000
0.000 0.755 0.000
0.498 0.910 0.767
0.502 0.090 0.233
0.001 0.599 0.261
0.999 0.401 0.739
```

Main lines, low angle first (2θ = 10–90°):
2θ = 13.8°, I 33
2θ = 14.1°, I 100
2θ = 15.7°, I 47
2θ = 26.6°, I 35
2θ = 26.8°, I 92
2θ = 27.7°, I 78
2θ = 35.2°, I 54
2θ = 36.1°, I 63
2θ = 36.2°, I 26
2θ = 41.3°, I 31
2θ = 46.4°, I 23
2θ = 46.5°, I 30

***

7.
Simulated PXRD pattern
Compound: BiN2Cl4
Radiation: Cu Kα
Structure: a cell relaxed with GGA-PBE
Intensities are scaled so that the largest is 100.

Structure:
```
BiN2Cl4
1.0
3.623 0.000 0.000
0.094 4.063 0.000
1.734 0.892 14.982
Bi N Cl
1 2 4
Direct
0.000 0.000 0.000
0.268 0.792 0.417
0.732 0.208 0.583
0.057 0.527 0.876
0.466 0.025 0.337
0.534 0.975 0.663
0.943 0.473 0.124
```

Main lines, low angle first (2θ = 10–90°):
2θ = 11.8°, I 100
2θ = 17.8°, I 63
2θ = 21.9°, I 34
2θ = 24.8°, I 68
2θ = 26.1°, I 46
2θ = 26.2°, I 45
2θ = 27.5°, I 52
2θ = 29.2°, I 36
2θ = 34.4°, I 26
2θ = 36.2°, I 24
2θ = 38.4°, I 23
2θ = 52.5°, I 22

***

8.
Simulated PXRD pattern
Compound: Bi2N3Cl9
Radiation: Cu Kα
Structure: a cell relaxed with GGA-PBE
Intensities are scaled so that the largest is 100.

Structure:
```
Bi2N3Cl9
1.0
7.622 0.000 0.000
-3.811 6.601 0.000
0.000 0.000 18.464
Bi N Cl
4 6 18
Direct
0.333 0.667 0.148
0.333 0.667 0.352
0.667 0.333 0.648
0.667 0.333 0.852
0.000 0.000 0.250
0.000 0.000 0.750
0.333 0.667 0.636
0.333 0.667 0.864
0.667 0.333 0.136
0.667 0.333 0.364
0.028 0.514 0.250
0.170 0.340 0.083
0.170 0.340 0.417
0.170 0.830 0.083
0.170 0.830 0.417
0.340 0.170 0.583
0.340 0.170 0.917
0.486 0.514 0.250
0.486 0.972 0.250
0.514 0.028 0.750
0.514 0.486 0.750
0.660 0.830 0.083
0.660 0.830 0.417
0.830 0.170 0.583
0.830 0.170 0.917
0.830 0.660 0.583
0.830 0.660 0.917
0.972 0.486 0.750
```

Main lines, low angle first (2θ = 10–90°):
2θ = 13.4°, I 26
2θ = 14.2°, I 100
2θ = 19.7°, I 13
2θ = 23.3°, I 20
2θ = 27.7°, I 18
2θ = 30.4°, I 22
2θ = 33.4°, I 17
2θ = 36.3°, I 16
2θ = 36.5°, I 20
2θ = 37.6°, I 17
2θ = 43.8°, I 14
2θ = 47.7°, I 14

***

9.
Simulated PXRD pattern
Compound: Na2BiCl6
Radiation: Cu Kα
Structure: a cell relaxed with GGA-PBE
Intensities are scaled so that the largest is 100.

Structure:
```
Na2BiCl6
1.0
6.828 0.000 0.000
2.338 6.719 0.000
1.043 3.403 6.162
Na Bi Cl
2 1 6
Direct
0.001 0.166 0.166
0.999 0.834 0.834
0.000 0.500 0.500
0.226 0.735 0.506
0.228 0.427 0.196
0.229 0.117 0.813
0.771 0.883 0.187
0.772 0.573 0.804
0.774 0.265 0.494
```

Main lines, low angle first (2θ = 10–90°):
2θ = 13.7°, I 100
2θ = 14.4°, I 43
2θ = 15.0°, I 77
2θ = 17.1°, I 27
2θ = 17.3°, I 26
2θ = 19.7°, I 18
2θ = 25.5°, I 37
2θ = 30.8°, I 38
2θ = 31.3°, I 37
2θ = 31.5°, I 41
2θ = 44.1°, I 43
2θ = 46.0°, I 19

***

10.
Simulated PXRD pattern
Compound: Na3BiCl6
Radiation: Cu Kα
Structure: a cell relaxed with GGA-PBE
Intensities are scaled so that the largest is 100.

Structure:
```
Na3BiCl6
1.0
7.029 0.000 0.000
0.000 7.383 0.000
-6.803 0.000 10.469
Na Bi Cl
6 2 12
Direct
0.000 0.000 0.000
0.000 0.500 0.500
0.206 0.070 0.725
0.206 0.430 0.225
0.794 0.570 0.775
0.794 0.930 0.275
0.500 0.000 0.500
0.500 0.500 0.000
0.119 0.180 0.444
0.119 0.320 0.944
0.231 0.696 0.407
0.231 0.804 0.907
0.405 0.081 0.261
0.405 0.419 0.761
0.595 0.581 0.239
0.595 0.919 0.739
0.769 0.196 0.093
0.769 0.304 0.593
0.881 0.680 0.056
0.881 0.820 0.556
```

Main lines, low angle first (2θ = 10–90°):
2θ = 14.7°, I 100
2θ = 15.0°, I 31
2θ = 15.3°, I 36
2θ = 16.9°, I 34
2θ = 17.4°, I 68
2θ = 24.2°, I 55
2θ = 24.6°, I 33
2θ = 28.5°, I 32
2θ = 28.8°, I 31
2θ = 29.3°, I 37
2θ = 35.3°, I 30
2θ = 38.8°, I 26

***

11.
Simulated PXRD pattern
Compound: NaBi3Cl2O4
Radiation: Cu Kα
Structure: a cell relaxed with GGA-PBE
Intensities are scaled so that the largest is 100.

Structure:
```
NaBi3Cl2O4
1.0
5.564 0.000 0.000
0.000 2.787 6.215
0.000 -2.787 6.215
Na Bi Cl O
1 3 2 4
Direct
0.000 0.000 0.000
0.000 0.692 0.692
0.500 0.192 0.192
0.500 0.508 0.508
0.000 0.342 0.342
0.500 0.855 0.855
0.257 0.360 0.845
0.257 0.845 0.360
0.743 0.360 0.845
0.743 0.845 0.360
```

Main lines, low angle first (2θ = 10–90°):
2θ = 14.3°, I 29
2θ = 17.4°, I 13
2θ = 23.7°, I 39
2θ = 31.3°, I 100
2θ = 32.1°, I 39
2θ = 43.7°, I 25
2θ = 46.1°, I 21
2θ = 52.5°, I 10
2θ = 55.3°, I 27
2θ = 56.8°, I 37
2θ = 65.4°, I 10
2θ = 76.1°, I 15

***

12.
Simulated PXRD pattern
Compound: NaTlSiBiTeCl
Radiation: Cu Kα
Structure: a cell relaxed with GGA-PBE
Intensities are scaled so that the largest is 100.

Structure:
```
NaTlSiBiTeCl
1.0
3.938 0.000 0.000
0.000 3.863 0.000
0.000 0.000 23.185
Na Tl Si Bi Te Cl
2 2 2 2 2 2
Direct
0.000 0.000 0.000
0.000 0.500 0.500
0.500 0.000 0.163
0.500 0.500 0.663
0.500 0.000 0.320
0.500 0.500 0.820
0.000 0.000 0.777
0.000 0.500 0.277
0.500 0.000 0.427
0.500 0.500 0.927
0.000 0.000 0.584
0.000 0.500 0.084
```

Main lines, low angle first (2θ = 10–90°):
2θ = 23.0°, I 19
2θ = 25.8°, I 58
2θ = 27.4°, I 95
2θ = 30.1°, I 52
2θ = 30.9°, I 24
2θ = 32.7°, I 100
2θ = 42.7°, I 34
2θ = 47.0°, I 20
2θ = 48.3°, I 19
2θ = 53.6°, I 17
2θ = 55.3°, I 28
2θ = 56.0°, I 18

***

13.
Simulated PXRD pattern
Compound: NaTlSiBiTeCl
Radiation: Cu Kα
Structure: a cell relaxed with GGA-PBE
Intensities are scaled so that the largest is 100.

Structure:
```
NaTlSiBiTeCl
1.0
3.826 0.000 0.000
-0.003 4.177 0.000
-0.083 -0.084 11.983
Na Tl Si Bi Te Cl
1 1 1 1 1 1
Direct
0.000 0.000 0.000
0.984 0.482 0.309
0.493 0.487 0.626
0.490 0.984 0.476
0.996 0.492 0.768
0.501 0.502 0.052
```

Main lines, low angle first (2θ = 10–90°):
2θ = 14.8°, I 43
2θ = 25.9°, I 91
2θ = 26.1°, I 92
2θ = 27.6°, I 90
2θ = 27.8°, I 89
2θ = 29.8°, I 37
2θ = 30.9°, I 35
2θ = 31.7°, I 100
2θ = 32.6°, I 100
2θ = 35.1°, I 35
2θ = 43.3°, I 49
2θ = 47.5°, I 32